Zn2Sn2SbAs3: computed powder diffraction line list (Cu Kα, 1.54184 Å), based on a structure optimized by DFT (PBE).

Most intense lines, 2θ from 10° to 90°, by angle:
3.493 Å, 2θ 25.50, rel. 100
2.639 Å, 2θ 33.97, rel. 6
2.139 Å, 2θ 42.25, rel. 75
1.825 Å, 2θ 49.98, rel. 38
1.822 Å, 2θ 50.06, rel. 8
1.513 Å, 2θ 61.25, rel. 8
1.389 Å, 2θ 67.44, rel. 12
1.387 Å, 2θ 67.54, rel. 5
1.236 Å, 2θ 77.19, rel. 11
1.234 Å, 2θ 77.30, rel. 11
1.165 Å, 2θ 82.83, rel. 5
1.164 Å, 2θ 82.95, rel. 6

Structural model:
Lattice parameters (Å, degrees): 13.526 6.050 6.045 90.00 116.43 90.00
Space group C2 (No. 5)
Asymmetric unit:
Zn: 0.130 0.000 0.367
Sn: 0.129 0.476 0.889
Sb: 0.000 0.765 0.500
As: 0.000 0.211 0.000
As: 0.250 0.238 0.727